Tm2MgTl: computed powder XRD pattern (Cu Kα (λ = 1.5418 Å)), based on DFT lattice parameters and positions (PBE).
Intensities are scaled so that the largest is 100.

Peak list (8 most intense, 15 to 90 degrees two-theta, in order of rising 2θ)
- 20.60°, rel. 22, (1 1 1)
- 33.95°, rel. 100, (2 2 0)
- 40.04°, rel. 12, (3 1 1)
- 48.77°, rel. 18, (4 0 0)
- 53.47°, rel. 5, (3 3 1)
- 60.75°, rel. 38, (4 2 2)
- 71.44°, rel. 12, (4 4 0)
- 81.50°, rel. 17, (6 2 0)

Crystal structure
Cell lengths 7.469, 7.469, 7.469 Å; angles 90.00, 90.00, 90.00 degrees
Space group Fm-3m (No. 225)
Symmetry-distinct sites (fractional):
Tm (0.250, 0.250, 0.250) (multiplicity 8)
Mg (0.000, 0.000, 0.000) (multiplicity 4)
Tl (0.000, 0.000, 0.500) (multiplicity 4)